[1]
This entry pairs a crystal structure of CrWO6 with its calculated X-ray diffraction stick pattern. Radiation: Cu Kα X-rays. Structure: a cell relaxed with GGA+U.
Intensities are scaled so that the largest is 100.

Top 8 peaks for 2θ = 15–90°, by intensity:
2θ/deg  Rel. int.
23.4  100.0
23.5  49.4
20.3  40.1
33.5  33.2
33.2  24.2
47.8  19.5
54.1  14.1
20.0  14.1

Structural model:
```
CrWO6
1.0
5.3423 0.0000 0.0000
-2.6620 4.6376 0.0000
-0.0206 -3.0752 4.4293
Cr W O
1 1 6
Direct
0.0000 0.0000 0.0000 Cr
0.5010 0.0056 0.5040 W
0.2604 0.5366 0.3138 O
0.2675 0.0519 0.8314 O
0.2700 0.0642 0.3217 O
0.7773 0.0429 0.8266 O
0.7822 0.0512 0.3154 O
0.7865 0.5655 0.8340 O
```



[2]
This entry pairs a crystal structure of CrW3O12 with its calculated X-ray diffraction stick pattern. Radiation: Cu Kα X-rays. Structure: a cell relaxed with GGA+U.
Intensities are scaled so that the largest is 100.

Top 8 peaks for 2θ = 15–90°, by intensity:
2θ/deg  Rel. int.
23.6  100.0
33.3  27.3
34.0  23.6
54.0  18.2
48.3  16.3
54.9  15.9
41.8  10.0
60.8  5.8

Structural model:
```
CrW3O12
1.0
5.2699 0.0000 0.0000
-0.0018 5.3864 0.0000
-0.0007 -0.2045 7.5338
Cr W O
1 3 12
Direct
0.0000 0.0000 0.0000 Cr
0.4975 0.4348 0.5356 W
0.5082 0.4965 0.0341 W
0.9900 0.9354 0.4997 W
0.0763 0.9476 0.7895 O
0.2003 0.2239 0.0640 O
0.2075 0.6488 0.4976 O
0.2820 0.1468 0.4960 O
0.2837 0.7419 0.0688 O
0.4248 0.4343 0.7853 O
0.5646 0.4311 0.2812 O
0.7100 0.7224 0.5671 O
0.7258 0.1527 0.9873 O
0.7842 0.2204 0.5693 O
0.7955 0.6654 0.9937 O
0.9190 0.9410 0.2691 O
```



[3]
This entry pairs a crystal structure of CrW2O8 with its calculated X-ray diffraction stick pattern. Radiation: Cu Kα X-rays. Structure: a cell relaxed with GGA+U.
Intensities are scaled so that the largest is 100.

Top 8 peaks for 2θ = 15–90°, by intensity:
2θ/deg  Rel. int.
19.2  100.0
23.5  99.1
30.6  83.7
30.4  83.7
24.6  52.3
41.0  42.3
15.3  36.3
35.9  36.0

Structural model:
```
CrW2O8
1.0
5.0297 0.0000 0.0000
0.0000 5.7770 0.0000
-4.9414 0.0000 9.2569
Cr W O
2 4 16
Direct
0.0000 0.1529 0.2500 Cr
0.0000 0.8471 0.7500 Cr
0.2338 0.3292 0.9923 W
0.2338 0.6708 0.4923 W
0.7662 0.3292 0.5077 W
0.7662 0.6708 0.0077 W
0.1770 0.3906 0.6119 O
0.1770 0.6094 0.1119 O
0.2097 0.1595 0.1384 O
0.2097 0.8405 0.6384 O
0.2465 0.0931 0.8792 O
0.2465 0.9069 0.3792 O
0.3105 0.3897 0.3910 O
0.3105 0.6103 0.8910 O
0.6895 0.3897 0.1090 O
0.6895 0.6103 0.6090 O
0.7535 0.0931 0.6208 O
0.7535 0.9069 0.1208 O
0.7903 0.1595 0.3616 O
0.7903 0.8405 0.8616 O
0.8230 0.3906 0.8881 O
0.8230 0.6094 0.3881 O
```



[4]
This entry pairs a crystal structure of CrWO6 with its calculated X-ray diffraction stick pattern. Radiation: Cu Kα X-rays. Structure: a cell relaxed with GGA+U.
Intensities are scaled so that the largest is 100.

Top 8 peaks for 2θ = 15–90°, by intensity:
2θ/deg  Rel. int.
24.6  100.0
35.0  32.8
56.8  25.4
21.0  20.6
21.4  19.7
50.3  17.0
56.1  9.4
40.9  9.4

Structural model:
```
CrWO6
1.0
5.0508 0.0000 0.0000
0.0000 5.2052 0.0000
-5.0481 0.0000 7.2506
Cr W O
2 2 12
Direct
0.0000 0.0000 0.0000 Cr
0.0000 0.5000 0.5000 Cr
0.5000 0.0000 0.5000 W
0.5000 0.5000 0.0000 W
0.1439 0.2111 0.4516 O
0.1439 0.2889 0.9516 O
0.2431 0.6967 0.4509 O
0.2431 0.8033 0.9509 O
0.3385 0.0172 0.2424 O
0.3385 0.4828 0.7424 O
0.6615 0.5172 0.2576 O
0.6615 0.9828 0.7576 O
0.7569 0.1967 0.0491 O
0.7569 0.3033 0.5491 O
0.8561 0.7111 0.0484 O
0.8561 0.7889 0.5484 O
```



[5]
This entry pairs a crystal structure of YCrO3 with its calculated X-ray diffraction stick pattern. Radiation: Cu Kα X-rays. Structure: a cell relaxed with GGA+U.
Intensities are scaled so that the largest is 100.

Top 8 peaks for 2θ = 15–90°, by intensity:
2θ/deg  Rel. int.
32.9  100.0
30.2  57.3
51.9  53.1
29.6  52.2
42.1  45.3
60.9  36.4
54.7  35.4
29.3  32.0

Structural model:
```
YCrO3
1.0
3.5243 0.0000 0.0000
-1.7621 3.0521 0.0000
0.0000 0.0000 12.0664
Y Cr O
2 2 6
Direct
0.0000 0.0000 0.0000 Y
0.0000 0.0000 0.5000 Y
0.3333 0.6667 0.2500 Cr
0.6667 0.3333 0.7500 Cr
0.0000 0.0000 0.2500 O
0.0000 0.0000 0.7500 O
0.3333 0.6667 0.0866 O
0.3333 0.6667 0.4134 O
0.6667 0.3333 0.5866 O
0.6667 0.3333 0.9134 O
```



[6]
This entry pairs a crystal structure of YCr2O4 with its calculated X-ray diffraction stick pattern. Radiation: Cu Kα X-rays. Structure: a cell relaxed with GGA+U.
Intensities are scaled so that the largest is 100.

Top 8 peaks for 2θ = 15–90°, by intensity:
2θ/deg  Rel. int.
35.9  100.0
31.0  31.9
28.2  29.6
58.4  21.1
48.2  19.0
53.3  17.8
55.1  14.2
58.2  14.0

Structural model:
```
YCr2O4
1.0
-2.8922 2.8922 4.9881
2.8922 -2.8922 4.9881
2.8922 2.8922 -4.9881
Y Cr O
2 4 8
Direct
0.3750 0.1250 0.2500 Y
0.6250 0.8750 0.7500 Y
0.0000 0.0000 0.5000 Cr
0.0000 0.5000 0.0000 Cr
0.0000 0.5000 0.5000 Cr
0.5000 0.5000 0.0000 Cr
0.0407 0.7309 0.9096 O
0.2309 0.8214 0.6903 O
0.3214 0.1311 0.5904 O
0.3689 0.4593 0.1903 O
0.6311 0.5407 0.8097 O
0.6786 0.8689 0.4096 O
0.7691 0.1786 0.3097 O
0.9593 0.2691 0.0904 O
```



[7]
This entry pairs a crystal structure of YCr2O4 with its calculated X-ray diffraction stick pattern. Radiation: Cu Kα X-rays. Structure: a cell relaxed with GGA+U.
Intensities are scaled so that the largest is 100.

Top 8 peaks for 2θ = 15–90°, by intensity:
2θ/deg  Rel. int.
33.0  100.0
33.2  34.8
28.0  34.6
28.2  33.4
57.8  28.2
58.2  27.6
52.9  24.1
52.8  16.6

Structural model:
```
YCr2O4
1.0
3.1896 1.8415 5.1601
-3.1896 1.8415 5.1601
0.0000 -3.6831 5.1601
Y Cr O
2 4 8
Direct
0.1218 0.1218 0.1218 Y
0.8782 0.8782 0.8782 Y
0.0000 0.5000 0.5000 Cr
0.5000 0.0000 0.5000 Cr
0.5000 0.5000 0.0000 Cr
0.5000 0.5000 0.5000 Cr
0.2597 0.2597 0.2597 O
0.2634 0.2634 0.7030 O
0.2634 0.7030 0.2634 O
0.2970 0.7366 0.7366 O
0.7030 0.2634 0.2634 O
0.7366 0.2970 0.7366 O
0.7366 0.7366 0.2970 O
0.7403 0.7403 0.7403 O
```



[8]
This entry pairs a crystal structure of Y2Cr3O12 with its calculated X-ray diffraction stick pattern. Radiation: Cu Kα X-rays. Structure: a cell relaxed with GGA+U.
Intensities are scaled so that the largest is 100.

Top 8 peaks for 2θ = 15–90°, by intensity:
2θ/deg  Rel. int.
24.7  100.0
33.5  57.4
49.4  50.8
16.8  15.8
50.6  15.7
62.1  15.4
18.3  14.8
35.2  11.5

Structural model:
```
Y2Cr3O12
1.0
0.0000 5.1064 15.3048
3.1347 0.0000 15.3048
3.1347 5.1064 0.0000
Y Cr O
4 6 24
Direct
0.0452 0.0452 0.7048 Y
0.2952 0.2952 0.9548 Y
0.7048 0.7048 0.0452 Y
0.9548 0.9548 0.2952 Y
0.1250 0.1250 0.1250 Cr
0.2094 0.2094 0.5406 Cr
0.4594 0.4594 0.7906 Cr
0.5406 0.5406 0.2094 Cr
0.7906 0.7906 0.4594 Cr
0.8750 0.8750 0.8750 Cr
0.0356 0.1502 0.4020 O
0.0719 0.5707 0.3509 O
0.0877 0.5980 0.8498 O
0.1502 0.0356 0.9123 O
0.1578 0.3209 0.7769 O
0.2231 0.7556 0.8422 O
0.2444 0.7769 0.3209 O
0.3209 0.1578 0.2444 O
0.3509 0.5065 0.0719 O
0.4020 0.9123 0.0356 O
0.4293 0.9281 0.4935 O
0.4935 0.6491 0.4293 O
0.5065 0.3509 0.5707 O
0.5707 0.0719 0.5065 O
0.5980 0.0877 0.9644 O
0.6491 0.4935 0.9281 O
0.6791 0.8422 0.7556 O
0.7556 0.2231 0.6791 O
0.7769 0.2444 0.1578 O
0.8422 0.6791 0.2231 O
0.8498 0.9644 0.0877 O
0.9123 0.4020 0.1502 O
0.9281 0.4293 0.6491 O
0.9644 0.8498 0.5980 O
```



[9]
This entry pairs a crystal structure of YCrO4 with its calculated X-ray diffraction stick pattern. Radiation: Cu Kα X-rays. Structure: a cell relaxed with GGA+U.
Intensities are scaled so that the largest is 100.

Top 8 peaks for 2θ = 15–90°, by intensity:
2θ/deg  Rel. int.
29.4  100.0
48.0  29.4
59.9  26.7
54.6  16.7
35.4  15.5
31.4  14.5
51.0  12.2
78.0  10.6

Structural model:
```
YCrO4
1.0
-2.5340 2.5340 5.7058
2.5340 -2.5340 5.7058
2.5340 2.5340 -5.7058
Y Cr O
2 2 8
Direct
0.3750 0.1250 0.2500 Y
0.6250 0.8750 0.7500 Y
0.1250 0.3750 0.7500 Cr
0.8750 0.6250 0.2500 Cr
0.0581 0.1949 0.3480 O
0.2101 0.5581 0.3633 O
0.3051 0.1531 0.8633 O
0.3469 0.7101 0.1520 O
0.6531 0.2899 0.8480 O
0.6949 0.8469 0.1367 O
0.7899 0.4419 0.6367 O
0.9419 0.8051 0.6520 O
```



Copy entry 3 word for word.
This entry pairs a crystal structure of CrW2O8 with its calculated X-ray diffraction stick pattern. Radiation: Cu Kα X-rays. Structure: a cell relaxed with GGA+U.
Intensities are scaled so that the largest is 100.

Top 8 peaks for 2θ = 15–90°, by intensity:
2θ/deg  Rel. int.
19.2  100.0
23.5  99.1
30.6  83.7
30.4  83.7
24.6  52.3
41.0  42.3
15.3  36.3
35.9  36.0

Structural model:
```
CrW2O8
1.0
5.0297 0.0000 0.0000
0.0000 5.7770 0.0000
-4.9414 0.0000 9.2569
Cr W O
2 4 16
Direct
0.0000 0.1529 0.2500 Cr
0.0000 0.8471 0.7500 Cr
0.2338 0.3292 0.9923 W
0.2338 0.6708 0.4923 W
0.7662 0.3292 0.5077 W
0.7662 0.6708 0.0077 W
0.1770 0.3906 0.6119 O
0.1770 0.6094 0.1119 O
0.2097 0.1595 0.1384 O
0.2097 0.8405 0.6384 O
0.2465 0.0931 0.8792 O
0.2465 0.9069 0.3792 O
0.3105 0.3897 0.3910 O
0.3105 0.6103 0.8910 O
0.6895 0.3897 0.1090 O
0.6895 0.6103 0.6090 O
0.7535 0.0931 0.6208 O
0.7535 0.9069 0.1208 O
0.7903 0.1595 0.3616 O
0.7903 0.8405 0.8616 O
0.8230 0.3906 0.8881 O
0.8230 0.6094 0.3881 O
```



Copy entry 9 word for word.
This entry pairs a crystal structure of YCrO4 with its calculated X-ray diffraction stick pattern. Radiation: Cu Kα X-rays. Structure: a cell relaxed with GGA+U.
Intensities are scaled so that the largest is 100.

Top 8 peaks for 2θ = 15–90°, by intensity:
2θ/deg  Rel. int.
29.4  100.0
48.0  29.4
59.9  26.7
54.6  16.7
35.4  15.5
31.4  14.5
51.0  12.2
78.0  10.6

Structural model:
```
YCrO4
1.0
-2.5340 2.5340 5.7058
2.5340 -2.5340 5.7058
2.5340 2.5340 -5.7058
Y Cr O
2 2 8
Direct
0.3750 0.1250 0.2500 Y
0.6250 0.8750 0.7500 Y
0.1250 0.3750 0.7500 Cr
0.8750 0.6250 0.2500 Cr
0.0581 0.1949 0.3480 O
0.2101 0.5581 0.3633 O
0.3051 0.1531 0.8633 O
0.3469 0.7101 0.1520 O
0.6531 0.2899 0.8480 O
0.6949 0.8469 0.1367 O
0.7899 0.4419 0.6367 O
0.9419 0.8051 0.6520 O
```